Theoretical powder XRD pattern of K2VRe3O12 for Cu Kα, from a crystal structure in Alexandria, relaxed with GGA+U.

The 10 most intense peaks (5 to 70 degrees two-theta), low angle first:
2theta, Rel. int.
14.84, 51
14.95, 80
28.64, 100
28.79, 18
29.95, 67
30.16, 19
34.78, 18
49.86, 24
50.14, 22
52.35, 20

Lattice parameters (Å, degrees): 7.3154 7.3154 17.7790 90.00 90.00 120.00
Space group R-3m (No. 166, hexagonal axes)
One atom of each set of equivalent atoms:
K 0.0000 0.0000 0.1197
V 0.0000 0.0000 0.5000
Re 0.0000 0.5000 0.0000
O 0.0812 0.5406 0.3551
O 0.0817 0.5408 0.0996